Record 1
For Th3Si2Pd6, a cell relaxed with PBE gives the computed powder X-ray diffraction pattern in this record (copper Kα).
No peak broadening, texture or thermal motion is included.

Cell and atoms:
Lattice parameters (Å, degrees): 9.522 9.522 9.522 90.00 90.00 90.00
Space group Im-3m (No. 229)
Inequivalent atoms, fractional coordinates:
Th1 0.000 0.000 0.288 [12 per cell]
Si1 0.250 0.250 0.250 [8 per cell]
Pd1 0.000 0.327 0.327 [24 per cell]

Top 12 peaks for 2θ = 5–70°, low angle first:
3.887 Å, 2θ 22.9, I = 12, hkl 2 1 1; 3.366 Å, 2θ 26.5, I = 18, hkl 2 2 0; 3.011 Å, 2θ 29.7, I = 36, hkl 3 1 0; 2.749 Å, 2θ 32.6, I = 16, hkl 2 2 2; 2.545 Å, 2θ 35.3, I = 30, hkl 3 2 1; 2.380 Å, 2θ 37.8, I = 21, hkl 4 0 0; 2.244 Å, 2θ 40.2, I = 100, hkl 3 3 0; 1.738 Å, 2θ 52.6, I = 9, hkl 5 2 1; 1.633 Å, 2θ 56.3, I = 13, hkl 4 3 3; 1.587 Å, 2θ 58.1, I = 13, hkl 6 0 0; 1.545 Å, 2θ 59.9, I = 21, hkl 5 3 2; 1.435 Å, 2θ 65.0, I = 15, hkl 6 2 2


Record 2
For NaTl2Hg4, a cell relaxed with PBE gives the computed powder X-ray diffraction pattern in this record (copper Kα).
No peak broadening, texture or thermal motion is included.

Cell and atoms:
Lattice parameters (Å, degrees): 10.357 5.011 9.454 90.00 121.28 90.00
Space group C2/m (No. 12)
Inequivalent atoms, fractional coordinates:
Na1 0.000 0.000 0.000 [2 per cell]
Tl1 0.170 0.500 0.537 [4 per cell]
Hg1 0.128 0.500 0.853 [4 per cell]
Hg2 0.210 0.500 0.213 [4 per cell]

Top 12 peaks for 2θ = 5–70°, low angle first:
4.426 Å, 2θ 20.1, I = 45, hkl 2 0 0; 4.361 Å, 2θ 20.4, I = 86, hkl 1 1 0; 2.786 Å, 2θ 32.1, I = 19, hkl 3 1 -2; 2.693 Å, 2θ 33.3, I = 36, hkl 0 0 3; 2.609 Å, 2θ 34.4, I = 100, hkl 1 1 -3; 2.542 Å, 2θ 35.3, I = 73, hkl 3 1 0; 2.506 Å, 2θ 35.8, I = 53, hkl 0 2 0; 2.486 Å, 2θ 36.1, I = 55, hkl 3 1 -3; 2.441 Å, 2θ 36.8, I = 26, hkl 4 0 -3; 2.164 Å, 2θ 41.7, I = 18, hkl 3 1 1; 1.835 Å, 2θ 49.7, I = 27, hkl 0 2 3; 1.748 Å, 2θ 52.3, I = 19, hkl 4 2 -3


Record 3
For CaCeGa2Pd2, a cell relaxed with PBE gives the computed powder X-ray diffraction pattern in this record (copper Kα).
No peak broadening, texture or thermal motion is included.

Cell and atoms:
Lattice parameters (Å, degrees): 4.4956 4.4956 7.3414 90.00 90.00 120.00
Space group P-3m1 (No. 164)
Inequivalent atoms, fractional coordinates:
Ca1 0.0000 0.0000 0.0000 [1 per cell]
Ce1 0.0000 0.0000 0.5000 [1 per cell]
Ga1 0.3333 0.6667 0.7446 [2 per cell]
Pd1 0.3333 0.6667 0.2669 [2 per cell]

Top 12 peaks for 2θ = 5–70°, low angle first:
7.341 Å, 2θ 12.1, I = 22, hkl 0 0 1; 3.671 Å, 2θ 24.2, I = 9, hkl 0 0 2; 3.440 Å, 2θ 25.9, I = 15, hkl 1 0 1; 2.671 Å, 2θ 33.6, I = 100, hkl 1 0 2; 2.248 Å, 2θ 40.1, I = 69, hkl 1 1 0; 2.149 Å, 2θ 42.0, I = 6, hkl 1 1 1; 2.072 Å, 2θ 43.7, I = 8, hkl 0 1 3; 1.917 Å, 2θ 47.4, I = 9, hkl 1 1 2; 1.835 Å, 2θ 49.7, I = 11, hkl 0 0 4; 1.720 Å, 2θ 53.3, I = 26, hkl 0 2 2; 1.422 Å, 2θ 65.7, I = 29, hkl 1 1 4; 1.366 Å, 2θ 68.7, I = 24, hkl 2 1 2


Record 4
For Tb2Zn4Ga3Pd, a cell relaxed with PBE gives the computed powder X-ray diffraction pattern in this record (copper Kα).
No peak broadening, texture or thermal motion is included.

Cell and atoms:
Lattice parameters (Å, degrees): 4.164 4.164 10.645 90.00 90.00 90.00
Space group P-4m2 (No. 115)
Inequivalent atoms, fractional coordinates:
Tb1 0.000 0.500 0.250 [2 per cell]
Zn1 0.000 0.000 0.000 [1 per cell]
Zn2 0.000 0.500 0.637 [2 per cell]
Zn3 0.500 0.500 0.000 [1 per cell]
Ga1 0.000 0.500 0.863 [2 per cell]
Ga2 0.500 0.500 0.500 [1 per cell]
Pd1 0.000 0.000 0.500 [1 per cell]

Top 12 peaks for 2θ = 5–70°, low angle first:
2.945 Å, 2θ 30.4, I = 12, hkl 1 1 0; 2.701 Å, 2θ 33.2, I = 54, hkl 1 0 3; 2.661 Å, 2θ 33.7, I = 8, hkl 0 0 4; 2.577 Å, 2θ 34.8, I = 100, hkl 1 1 2; 2.082 Å, 2θ 43.5, I = 49, hkl 2 0 0; 1.974 Å, 2θ 46.0, I = 8, hkl 1 1 4; 1.896 Å, 2θ 48.0, I = 29, hkl 1 0 5; 1.649 Å, 2θ 55.7, I = 24, hkl 2 1 3; 1.640 Å, 2θ 56.1, I = 7, hkl 2 0 4; 1.520 Å, 2θ 61.0, I = 11, hkl 1 1 6; 1.472 Å, 2θ 63.2, I = 16, hkl 2 2 0; 1.402 Å, 2θ 66.7, I = 21, hkl 2 1 5


Record 5
For Rb3Ce3MgSe8, a cell relaxed with PBE gives the computed powder X-ray diffraction pattern in this record (copper Kα).
No peak broadening, texture or thermal motion is included.

Cell and atoms:
Lattice parameters (Å, degrees): 8.4985 8.4985 24.2500 90.00 90.00 120.00
Space group R-3m (No. 166, hexagonal axes)
Inequivalent atoms, fractional coordinates:
Rb1 0.0000 0.5000 0.0000 [9 per cell]
Ce1 0.0000 0.5000 0.5000 [9 per cell]
Mg1 0.0000 0.0000 0.5000 [3 per cell]
Se1 0.0000 0.0000 0.2329 [6 per cell]
Se2 0.0041 0.5021 0.2290 [18 per cell]

Top 12 peaks for 2θ = 5–70°, low angle first:
8.083 Å, 2θ 10.9, I = 34, hkl 0 0 3; 6.292 Å, 2θ 14.1, I = 13, hkl 0 1 2; 3.146 Å, 2θ 28.4, I = 100, hkl 0 2 4; 2.523 Å, 2θ 35.6, I = 18, hkl 0 2 7; 2.340 Å, 2θ 38.5, I = 30, hkl 2 0 8; 2.125 Å, 2θ 42.6, I = 37, hkl 2 2 0; 2.023 Å, 2θ 44.8, I = 8, hkl 0 0 12; 1.891 Å, 2θ 48.1, I = 9, hkl 2 0 11; 1.761 Å, 2θ 51.9, I = 18, hkl 4 0 4; 1.573 Å, 2θ 58.7, I = 9, hkl 0 4 8; 1.465 Å, 2θ 63.5, I = 8, hkl 2 2 12; 1.356 Å, 2θ 69.3, I = 15, hkl 2 4 4


Record 6
For V4P2C, a cell relaxed with PBE gives the computed powder X-ray diffraction pattern in this record (copper Kα).
No peak broadening, texture or thermal motion is included.

Cell and atoms:
Lattice parameters (Å, degrees): 9.5498 9.5498 3.1577 90.00 90.00 120.00
Space group P-62m (No. 189)
Inequivalent atoms, fractional coordinates:
V1 0.0000 0.5339 0.0000 [3 per cell]
V2 0.0000 0.8137 0.0000 [3 per cell]
V3 0.2076 0.4519 0.5000 [6 per cell]
P1 0.0000 0.0000 0.5000 [1 per cell]
P2 0.0000 0.2821 0.0000 [3 per cell]
P3 0.3333 0.6667 0.0000 [2 per cell]
C1 0.0000 0.6695 0.5000 [3 per cell]

Top 12 peaks for 2θ = 5–70°, low angle first:
2.510 Å, 2θ 35.8, I = 12, hkl 2 0 1; 2.294 Å, 2θ 39.3, I = 36, hkl 3 1 0; 2.222 Å, 2θ 40.6, I = 100, hkl 2 1 1; 2.077 Å, 2θ 43.6, I = 6, hkl 3 0 1; 2.068 Å, 2θ 43.8, I = 29, hkl 4 0 0; 1.904 Å, 2θ 47.8, I = 19, hkl 2 2 1; 1.856 Å, 2θ 49.1, I = 6, hkl 3 1 1; 1.626 Å, 2θ 56.6, I = 6, hkl 3 2 1; 1.592 Å, 2θ 57.9, I = 6, hkl 3 3 0; 1.579 Å, 2θ 58.5, I = 14, hkl 0 0 2; 1.421 Å, 2θ 65.7, I = 11, hkl 3 3 1; 1.401 Å, 2θ 66.8, I = 6, hkl 4 2 1


Record 7
For YTm3In3, a cell relaxed with PBE gives the computed powder X-ray diffraction pattern in this record (copper Kα).
No peak broadening, texture or thermal motion is included.

Cell and atoms:
Lattice parameters (Å, degrees): 9.225 9.225 9.225 90.00 90.00 90.00
Space group P2_13 (No. 198)
Inequivalent atoms, fractional coordinates:
Y1 0.053 0.447 0.553 [4 per cell]
Tm1 0.112 0.612 0.888 [4 per cell]
Tm2 0.168 0.168 0.168 [4 per cell]
Tm3 0.197 0.803 0.303 [4 per cell]
In1 0.006 0.793 0.605 [12 per cell]

Top 12 peaks for 2θ = 5–70°, low angle first:
3.766 Å, 2θ 23.6, I = 12, hkl 2 1 1; 2.917 Å, 2θ 30.6, I = 100, hkl 3 1 0; 2.781 Å, 2θ 32.2, I = 22, hkl 3 1 1; 2.559 Å, 2θ 35.1, I = 25, hkl 3 2 0; 2.466 Å, 2θ 36.4, I = 98, hkl 3 1 2; 1.883 Å, 2θ 48.3, I = 16, hkl 4 2 2; 1.809 Å, 2θ 50.4, I = 18, hkl 4 3 1; 1.713 Å, 2θ 53.5, I = 11, hkl 4 2 3; 1.497 Å, 2θ 62.0, I = 19, hkl 5 2 3; 1.441 Å, 2θ 64.7, I = 16, hkl 5 0 4; 1.423 Å, 2θ 65.6, I = 14, hkl 5 1 4; 1.375 Å, 2θ 68.2, I = 11, hkl 6 3 0


Record 8
For ReRh2Br, a cell relaxed with PBE gives the computed powder X-ray diffraction pattern in this record (copper Kα).
No peak broadening, texture or thermal motion is included.

Cell and atoms:
Lattice parameters (Å, degrees): 2.856 2.856 7.977 90.00 90.00 90.00
Space group P4/mmm (No. 123)
Inequivalent atoms, fractional coordinates:
Re1 0.000 0.000 0.000 [1 per cell]
Rh1 0.500 0.500 0.221 [2 per cell]
Br1 0.000 0.000 0.500 [1 per cell]

Top 12 peaks for 2θ = 5–70°, low angle first:
7.977 Å, 2θ 11.1, I = 43, hkl 0 0 1; 3.989 Å, 2θ 22.3, I = 2, hkl 0 0 2; 2.689 Å, 2θ 33.3, I = 3, hkl 1 0 1; 2.322 Å, 2θ 38.8, I = 100, hkl 1 0 2; 2.020 Å, 2θ 44.9, I = 35, hkl 1 1 0; 1.994 Å, 2θ 45.5, I = 13, hkl 0 0 4; 1.958 Å, 2θ 46.4, I = 6, hkl 1 1 1; 1.946 Å, 2θ 46.7, I = 12, hkl 1 0 3; 1.595 Å, 2θ 57.8, I = 3, hkl 0 0 5; 1.428 Å, 2θ 65.3, I = 11, hkl 2 0 0; 1.419 Å, 2θ 65.8, I = 18, hkl 1 1 4; 1.406 Å, 2θ 66.5, I = 2, hkl 2 0 1


Record 9
For VCrCuBr, a cell relaxed with PBE gives the computed powder X-ray diffraction pattern in this record (copper Kα).
No peak broadening, texture or thermal motion is included.

Cell and atoms:
Lattice parameters (Å, degrees): 3.869 3.136 6.611 90.00 97.17 90.00
Space group Pm (No. 6)
Inequivalent atoms, fractional coordinates:
V1 0.000 0.000 0.000 [1 per cell]
Cr1 0.492 0.500 0.927 [1 per cell]
Cu1 0.950 0.500 0.675 [1 per cell]
Br1 0.893 0.500 0.291 [1 per cell]

Top 12 peaks for 2θ = 5–70°, low angle first:
6.559 Å, 2θ 13.5, I = 44, hkl 0 0 1; 3.839 Å, 2θ 23.2, I = 100, hkl 1 0 0; 3.137 Å, 2θ 28.5, I = 77, hkl 0 1 0; 2.353 Å, 2θ 38.3, I = 28, hkl 1 0 2; 2.338 Å, 2θ 38.5, I = 77, hkl 1 1 -1; 2.266 Å, 2θ 39.8, I = 40, hkl 0 1 2; 2.221 Å, 2θ 40.6, I = 33, hkl 1 1 1; 2.186 Å, 2θ 41.3, I = 45, hkl 0 0 3; 2.030 Å, 2θ 44.6, I = 47, hkl 1 1 -2; 2.011 Å, 2θ 45.1, I = 29, hkl 1 0 -3; 1.919 Å, 2θ 47.4, I = 32, hkl 2 0 0; 1.882 Å, 2θ 48.4, I = 60, hkl 1 1 2